# Sc4TeOs
Calculated PXRD pattern, Cu Kα, 1.54184 Å. Input: DFT lattice parameters and positions (PBE).

Top 8 peaks for 10° ≤ 2θ ≤ 90°, in order of falling intensity:
- 2θ 22.99, rel. 100
- 2θ 36.39, rel. 91
- 2θ 26.07, rel. 68
- 2θ 41.48, rel. 50
- 2θ 43.60, rel. 47
- 2θ 23.89, rel. 44
- 2θ 41.67, rel. 43
- 2θ 33.63, rel. 42

Cell and atoms:
Cell lengths 7.449, 3.938, 18.104 Å; angles 90.00, 90.00, 90.00 degrees
Fractional coordinates of all 24 atoms:
Sc 0.001 0.250 0.065
Sc 0.066 0.250 0.793
Sc 0.124 0.250 0.358
Sc 0.141 0.250 0.541
Sc 0.359 0.750 0.041
Sc 0.376 0.750 0.858
Sc 0.434 0.750 0.293
Sc 0.499 0.750 0.565
Sc 0.501 0.250 0.435
Sc 0.566 0.250 0.707
Sc 0.624 0.250 0.142
Sc 0.641 0.250 0.959
Sc 0.859 0.750 0.459
Sc 0.876 0.750 0.642
Sc 0.934 0.750 0.207
Sc 0.999 0.750 0.935
Te 0.243 0.250 0.196
Te 0.257 0.750 0.696
Te 0.743 0.250 0.304
Te 0.757 0.750 0.804
Os 0.249 0.250 0.943
Os 0.251 0.750 0.443
Os 0.749 0.250 0.557
Os 0.751 0.750 0.057

=====

# Tb12Sm2Sc
Calculated PXRD pattern, Cu Kα, 1.54184 Å. Input: DFT lattice parameters and positions (PBE).

Top 8 peaks for 10° ≤ 2θ ≤ 90°, in order of falling intensity:
- 2θ 31.59, rel. 100
- 2θ 31.92, rel. 84
- 2θ 32.07, rel. 55
- 2θ 30.21, rel. 52
- 2θ 33.48, rel. 44
- 2θ 56.51, rel. 29
- 2θ 45.27, rel. 27
- 2θ 29.43, rel. 20

Cell and atoms:
Cell lengths 6.662, 6.662, 24.507 Å; angles 94.07, 94.07, 116.50 degrees
Fractional coordinates of all 30 atoms:
Tb 0.031 0.481 0.304
Tb 0.045 0.541 0.828
Tb 0.144 0.658 0.056
Tb 0.163 0.699 0.566
Tb 0.166 0.166 0.069
Tb 0.189 0.189 0.646
Tb 0.301 0.837 0.434
Tb 0.342 0.856 0.944
Tb 0.343 0.343 0.387
Tb 0.343 0.343 0.920
Tb 0.459 0.955 0.172
Tb 0.481 0.031 0.304
Tb 0.519 0.969 0.696
Tb 0.541 0.045 0.828
Tb 0.657 0.657 0.080
Tb 0.657 0.657 0.613
Tb 0.658 0.144 0.056
Tb 0.699 0.163 0.566
Tb 0.811 0.811 0.354
Tb 0.834 0.834 0.931
Tb 0.837 0.301 0.434
Tb 0.856 0.342 0.944
Tb 0.955 0.459 0.172
Tb 0.969 0.519 0.696
Sm 0.017 0.017 0.778
Sm 0.480 0.480 0.228
Sm 0.520 0.520 0.772
Sm 0.983 0.983 0.222
Sc 0.248 0.248 0.515
Sc 0.752 0.752 0.485